The following is a theoretical powder XRD pattern of Al2AgH. It was derived from a GGA-PBE-relaxed structure, using CuKα.

Most intense lines, 2θ from 10° to 80°, by intensity:
d (Å), 2θ (°), I (rel.)
3.545, 25.12, 100
2.171, 41.61, 88
1.851, 49.22, 46
1.253, 75.92, 28
1.409, 66.37, 18
3.070, 29.09, 15
1.535, 60.30, 14
1.373, 68.32, 4

Structural model:
Lattice parameters (Å, degrees): 6.140 6.140 6.140 90.00 90.00 90.00
Positions (direct):
Al1 0.250 0.250 0.250
Al2 0.250 0.250 0.750
Al3 0.250 0.750 0.250
Al4 0.250 0.750 0.750
Al5 0.750 0.250 0.250
Al6 0.750 0.250 0.750
Al7 0.750 0.750 0.250
Al8 0.750 0.750 0.750
Ag1 0.000 0.000 0.000
Ag2 0.000 0.500 0.500
Ag3 0.500 0.000 0.500
Ag4 0.500 0.500 0.000
H1 0.000 0.000 0.500
H2 0.000 0.500 0.000
H3 0.500 0.000 0.000
H4 0.500 0.500 0.500

The following is a theoretical powder XRD pattern of K2AlAgH6. It was derived from a GGA-PBE-relaxed structure, using CuKα.

Most intense lines, 2θ from 10° to 80°, by intensity:
d (Å), 2θ (°), I (rel.)
2.761, 32.43, 100
2.899, 30.85, 58
4.580, 19.38, 51
1.646, 55.87, 38
2.449, 36.69, 22
2.050, 44.19, 22
1.570, 58.81, 21
1.381, 67.89, 14

Structural model:
Lattice parameters (Å, degrees): 5.545 5.545 5.545 116.97 116.97 95.33
Positions (direct):
K1 0.250 0.750 0.500
K2 0.750 0.250 0.500
Al1 0.000 0.000 0.000
Ag1 0.500 0.500 0.000
H1 0.215 0.215 0.430
H2 0.215 0.785 0.000
H3 0.251 0.251 0.000
H4 0.749 0.749 0.000
H5 0.785 0.215 0.000
H6 0.785 0.785 0.570

The following is a theoretical powder XRD pattern of AlAgH2Pd7. It was derived from a GGA-PBE-relaxed structure, using CuKα.

Most intense lines, 2θ from 10° to 80°, by intensity:
d (Å), 2θ (°), I (rel.)
2.434, 36.94, 100
2.157, 41.87, 68
1.946, 46.68, 64
2.592, 34.60, 42
2.661, 33.68, 35
1.423, 65.63, 20
1.376, 68.15, 20
3.892, 22.85, 20

Structural model:
Lattice parameters (Å, degrees): 3.892 3.892 10.425 90.00 90.00 90.00
Positions (direct):
Al1 0.000 0.000 0.000
Ag1 0.000 0.000 0.500
H1 0.500 0.500 0.196
H2 0.500 0.500 0.804
Pd1 0.000 0.500 0.189
Pd2 0.000 0.500 0.811
Pd3 0.500 0.000 0.189
Pd4 0.500 0.000 0.811
Pd5 0.500 0.500 0.000
Pd6 0.500 0.500 0.378
Pd7 0.500 0.500 0.622

The following is a theoretical powder XRD pattern of Hf3Al4Ag2. It was derived from a GGA-PBE-relaxed structure, using CuKα.

Most intense lines, 2θ from 10° to 80°, by intensity:
d (Å), 2θ (°), I (rel.)
2.436, 36.91, 100
2.249, 40.10, 61
3.895, 22.83, 45
1.652, 55.63, 30
1.332, 70.75, 24
1.283, 73.90, 13
1.298, 72.85, 10
1.561, 59.20, 7

Structural model:
Lattice parameters (Å, degrees): 5.470 5.470 8.394 116.60 116.60 48.57
Positions (direct):
Hf1 0.000 0.000 0.000
Hf2 0.339 0.339 0.326
Hf3 0.661 0.661 0.674
Al1 0.061 0.061 0.393
Al2 0.276 0.276 0.943
Al3 0.724 0.724 0.057
Al4 0.939 0.939 0.607
Ag1 0.382 0.382 0.717
Ag2 0.618 0.618 0.283

The following is a theoretical powder XRD pattern of HfAlAgPt. It was derived from a GGA-PBE-relaxed structure, using CuKα.

Most intense lines, 2θ from 10° to 80°, by intensity:
d (Å), 2θ (°), I (rel.)
2.301, 39.15, 100
1.329, 70.94, 35
3.758, 23.68, 26
1.627, 56.56, 17
1.962, 46.26, 14
1.493, 62.17, 6
3.254, 27.41, 5
1.253, 75.97, 5

Structural model:
Lattice parameters (Å, degrees): 6.509 6.509 6.509 90.00 90.00 90.00
Positions (direct):
Hf1 0.000 0.000 0.000
Hf2 0.000 0.500 0.500
Hf3 0.500 0.000 0.500
Hf4 0.500 0.500 0.000
Al1 0.000 0.000 0.500
Al2 0.000 0.500 0.000
Al3 0.500 0.000 0.000
Al4 0.500 0.500 0.500
Ag1 0.250 0.250 0.750
Ag2 0.250 0.750 0.250
Ag3 0.750 0.250 0.250
Ag4 0.750 0.750 0.750
Pt1 0.250 0.250 0.250
Pt2 0.250 0.750 0.750
Pt3 0.750 0.250 0.750
Pt4 0.750 0.750 0.250

The following is a theoretical powder XRD pattern of Al2AgHg. It was derived from a GGA-PBE-relaxed structure, using CuKα.

Most intense lines, 2θ from 10° to 80°, by intensity:
d (Å), 2θ (°), I (rel.)
2.408, 37.34, 100
2.448, 36.71, 99
6.113, 14.49, 93
3.399, 26.22, 88
2.134, 42.36, 66
2.678, 33.46, 48
1.476, 62.96, 40
2.240, 40.25, 33

Structural model:
Lattice parameters (Å, degrees): 2.979 4.089 6.113 90.00 90.00 90.00
Positions (direct):
Al1 0.000 0.000 0.000
Al2 0.500 0.500 0.247
Ag1 0.500 0.500 0.795
Hg1 0.000 0.000 0.503

Please write out number 5 again, unchanged.
The following is a theoretical powder XRD pattern of HfAlAgPt. It was derived from a GGA-PBE-relaxed structure, using CuKα.

Most intense lines, 2θ from 10° to 80°, by intensity:
d (Å), 2θ (°), I (rel.)
2.301, 39.15, 100
1.329, 70.94, 35
3.758, 23.68, 26
1.627, 56.56, 17
1.962, 46.26, 14
1.493, 62.17, 6
3.254, 27.41, 5
1.253, 75.97, 5

Structural model:
Lattice parameters (Å, degrees): 6.509 6.509 6.509 90.00 90.00 90.00
Positions (direct):
Hf1 0.000 0.000 0.000
Hf2 0.000 0.500 0.500
Hf3 0.500 0.000 0.500
Hf4 0.500 0.500 0.000
Al1 0.000 0.000 0.500
Al2 0.000 0.500 0.000
Al3 0.500 0.000 0.000
Al4 0.500 0.500 0.500
Ag1 0.250 0.250 0.750
Ag2 0.250 0.750 0.250
Ag3 0.750 0.250 0.250
Ag4 0.750 0.750 0.750
Pt1 0.250 0.250 0.250
Pt2 0.250 0.750 0.750
Pt3 0.750 0.250 0.750
Pt4 0.750 0.750 0.250